1.
This entry pairs a crystal structure of Zr2Cd3Ag3 with its calculated X-ray powder pattern. Radiation: CuKα. Structure: a PBE-relaxed structure.
No peak broadening, texture or thermal motion is included.

Most intense lines, 2θ = 10–90°, sorted by position:
Position (°2θ), I_rel, index
12.1, 15.4, 1 0 0
21.0, 13.1, 1 1 0
31.5, 18.8, 0 0 2
36.0, 16.6, 2 1 1
36.7, 100.0, 3 0 0
38.1, 72.6, 1 1 2
49.1, 24.8, 3 0 2
54.0, 23.3, 2 2 2
67.1, 21.0, 4 1 2
77.7, 20.8, 3 0 4

Cell lengths 8.4727, 8.4727, 5.6837 Å; angles 90.00, 90.00, 120.00 degrees
Space group P6_3/mcm (No. 193)
Asymmetric unit:
Zr1 0.3333 0.6667 0.0000 x4
Cd1 0.0000 0.3043 0.2500 x6
Ag1 0.0000 0.3555 0.7500 x6


2.
This entry pairs a crystal structure of ZrCd5Ag4 with its calculated X-ray powder pattern. Radiation: CuKα. Structure: a PBE-relaxed structure.
No peak broadening, texture or thermal motion is included.

Most intense lines, 2θ = 10–90°, sorted by position:
Position (°2θ), I_rel, index
36.8, 100.0, 1 0 5
38.3, 47.4, 1 1 0
40.5, 3.6, 1 0 6
50.8, 8.1, 0 0 10
55.2, 15.6, 2 0 0
65.4, 14.6, 1 1 10
68.2, 30.3, 2 1 5
78.3, 8.6, 2 0 10
81.9, 4.8, 2 2 0
86.3, 5.1, 1 0 15

Cell lengths 3.326, 3.326, 17.969 Å; angles 90.00, 90.00, 90.00 degrees
Space group P4/mmm (No. 123)
Asymmetric unit:
Zr1 0.000 0.000 0.000 x1
Cd1 0.500 0.500 0.112 x2
Cd2 0.500 0.500 0.306 x2
Cd3 0.500 0.500 0.500 x1
Ag1 0.000 0.000 0.209 x2
Ag2 0.000 0.000 0.403 x2


3.
This entry pairs a crystal structure of Zr3Cd3Ag with its calculated X-ray powder pattern. Radiation: CuKα. Structure: a PBE-relaxed structure.
No peak broadening, texture or thermal motion is included.

Most intense lines, 2θ = 10–90°, sorted by position:
Position (°2θ), I_rel, index
34.4, 72.1, 0 0 12
35.0, 100.0, 2 -1 6
35.7, 53.7, 2 0 2
37.1, 16.9, 0 2 4
38.2, 61.2, 2 0 5
40.8, 52.6, 0 2 7
45.9, 19.8, 0 2 10
62.0, 21.3, 2 -1 18
64.0, 21.7, 2 2 3
69.4, 18.4, 4 -2 9

Cell lengths 5.8805, 5.8805, 31.3207 Å; angles 90.00, 90.00, 120.00 degrees
Space group R-3 (No. 148, hexagonal axes)
Asymmetric unit:
Zr1 0.0035 0.6785 0.2049 x18
Cd1 0.0019 0.4655 0.2928 x18
Ag1 0.0000 0.0000 0.2821 x6


4.
This entry pairs a crystal structure of Zr2CdAg with its calculated X-ray powder pattern. Radiation: CuKα. Structure: a PBE-relaxed structure.
No peak broadening, texture or thermal motion is included.

Most intense lines, 2θ = 10–90°, sorted by position:
Position (°2θ), I_rel, index
19.9, 1.0, 0 0 1
35.6, 100.0, 1 1 1
40.5, 17.4, 0 0 2
41.9, 31.6, 2 0 0
59.6, 21.3, 2 0 2
60.7, 10.1, 2 2 0
70.5, 12.7, 1 1 3
72.4, 23.4, 3 1 1
75.5, 10.4, 2 2 2
87.5, 1.8, 0 0 4

Cell lengths 4.316, 4.316, 4.460 Å; angles 90.00, 90.00, 90.00 degrees
Space group P4/mmm (No. 123)
Asymmetric unit:
Zr1 0.000 0.500 0.000 x2
Cd1 0.000 0.000 0.500 x1
Ag1 0.500 0.500 0.500 x1


5.
This entry pairs a crystal structure of Zr3Cd2Ag with its calculated X-ray powder pattern. Radiation: CuKα. Structure: a PBE-relaxed structure.
No peak broadening, texture or thermal motion is included.

Most intense lines, 2θ = 10–90°, sorted by position:
Position (°2θ), I_rel, index
33.4, 100.0, 1 1 1
33.7, 84.8, 2 0 -4
34.0, 59.4, 3 0 -1
35.8, 49.4, 3 0 0
37.0, 37.6, 2 1 -1
37.3, 97.2, 1 1 2
38.2, 29.9, 0 1 3
38.4, 68.8, 1 0 4
40.8, 92.5, 2 1 -3
64.3, 30.6, 1 1 -7

Cell lengths 7.943, 3.077, 11.586 Å; angles 90.00, 108.82, 90.00 degrees
Space group P2_1 (No. 4)
Asymmetric unit:
Zr1 0.032 0.000 0.118 x2
Zr2 0.351 0.502 0.079 x2
Zr3 0.391 0.001 0.327 x2
Cd1 0.251 0.002 0.553 x2
Cd2 0.299 0.504 0.795 x2
Ag1 0.043 0.501 0.345 x2


6.
This entry pairs a crystal structure of Ce5Ag with its calculated X-ray powder pattern. Radiation: CuKα. Structure: a PBE-relaxed structure.
No peak broadening, texture or thermal motion is included.

Most intense lines, 2θ = 10–90°, sorted by position:
Position (°2θ), I_rel, index
31.7, 33.5, 0 6 0
32.7, 32.9, 2 0 0
35.9, 100.0, 1 3 1
46.2, 23.4, 2 6 0
59.3, 20.4, 1 9 1
60.5, 21.8, 3 3 1
66.6, 7.7, 0 6 2
67.2, 8.0, 2 0 2
76.2, 10.5, 2 6 2
78.8, 8.9, 3 9 1

Cell lengths 5.480, 16.925, 3.236 Å; angles 90.00, 90.00, 90.00 degrees
Space group Cmmm (No. 65)
Asymmetric unit:
Ce1 0.000 0.000 0.000 x2
Ce2 0.000 0.156 0.500 x4
Ce3 0.000 0.336 0.000 x4
Ag1 0.000 0.500 0.500 x2


7.
This entry pairs a crystal structure of Ce5Ag with its calculated X-ray powder pattern. Radiation: CuKα. Structure: a PBE-relaxed structure.
No peak broadening, texture or thermal motion is included.

Most intense lines, 2θ = 10–90°, sorted by position:
Position (°2θ), I_rel, index
31.8, 30.7, 0 0 6
32.3, 22.8, 1 0 0
36.1, 100.0, 1 0 3
46.0, 16.4, 1 0 6
57.7, 17.2, 1 1 0
59.5, 21.6, 1 0 9
67.3, 20.7, 1 1 6
70.0, 14.7, 2 0 3
76.7, 3.6, 2 0 6
87.5, 7.5, 2 0 9

Cell lengths 3.1976, 3.1976, 16.9060 Å; angles 90.00, 90.00, 120.00 degrees
Space group P-6m2 (No. 187)
Asymmetric unit:
Ce1 0.0000 0.0000 0.0000 x1
Ce2 0.0000 0.0000 0.3413 x2
Ce3 0.3333 0.6667 0.1699 x2
Ag1 0.3333 0.6667 0.5000 x1


8.
This entry pairs a crystal structure of CeAgCl5 with its calculated X-ray powder pattern. Radiation: CuKα. Structure: a PBE-relaxed structure.
No peak broadening, texture or thermal motion is included.

Most intense lines, 2θ = 10–90°, sorted by position:
Position (°2θ), I_rel, index
14.6, 58.9, 1 1 0
15.0, 88.3, 1 1 -1
19.6, 58.5, 1 1 1
20.4, 28.1, 1 1 -2
23.4, 100.0, 0 2 2
24.5, 37.9, 1 3 -1
28.2, 59.6, 1 3 -2
29.5, 31.1, 2 2 0
33.6, 31.1, 1 3 2
38.7, 36.6, 2 4 -2

Cell lengths 7.233, 13.021, 9.888 Å; angles 90.00, 108.83, 90.00 degrees
Space group C2/c (No. 15)
Asymmetric unit:
Ce1 0.250 0.250 0.000 x4
Ag1 0.000 0.015 0.250 x4
Cl1 0.000 0.330 0.750 x4
Cl2 0.036 0.149 0.453 x8
Cl3 0.187 0.407 0.144 x8